Record 1
Starting from a DFT-relaxed cell (GGA-PBE, Alexandria), the powder XRD pattern of Li4Tl2F9 was calculated for Cu Kα (weighted mean of Kα1 and Kα2).
No peak broadening, texture or thermal motion is included.

Main lines, in order of rising 2θ (15° ≤ 2θ ≤ 90°):
2θ = 18.9°, I 100; 2θ = 25.1°, I 14; 2θ = 31.5°, I 47; 2θ = 33.0°, I 21; 2θ = 38.2°, I 29; 2θ = 41.9°, I 22; 2θ = 46.3°, I 26; 2θ = 51.4°, I 16; 2θ = 58.0°, I 19; 2θ = 58.9°, I 9

Structural model:
```
Li4Tl2F9
1.0
5.4327 0.0000 0.0000
-2.7163 4.7049 0.0000
0.0000 0.0000 14.2152
Li Tl F
8 4 18
Direct
0.3333 0.6667 0.0000
0.3333 0.6667 0.1934
0.3333 0.6667 0.5000
0.3333 0.6667 0.8066
0.6667 0.3333 0.0000
0.6667 0.3333 0.1934
0.6667 0.3333 0.5000
0.6667 0.3333 0.8066
0.0000 0.0000 0.1042
0.0000 0.0000 0.3557
0.0000 0.0000 0.6443
0.0000 0.0000 0.8958
0.0000 0.2928 0.7626
0.0000 0.3550 0.4216
0.0000 0.4277 0.0895
0.0000 0.5723 0.9105
0.0000 0.6450 0.5784
0.0000 0.7072 0.2374
0.2928 0.0000 0.7626
0.2928 0.2928 0.2374
0.3550 0.0000 0.4216
0.3550 0.3550 0.5784
0.4277 0.0000 0.0895
0.4277 0.4277 0.9105
0.5723 0.0000 0.9105
0.5723 0.5723 0.0895
0.6450 0.0000 0.5784
0.6450 0.6450 0.4216
0.7072 0.0000 0.2374
0.7072 0.7072 0.7626
```


Record 2
Starting from a DFT-relaxed cell (GGA-PBE, Alexandria), the powder XRD pattern of LiTlF2 was calculated for Cu Kα (weighted mean of Kα1 and Kα2).
No peak broadening, texture or thermal motion is included.

Main lines, in order of rising 2θ (15° ≤ 2θ ≤ 90°):
2θ = 19.0°, I 100; 2θ = 31.2°, I 85; 2θ = 31.3°, I 33; 2θ = 36.7°, I 29; 2θ = 36.9°, I 59; 2θ = 44.9°, I 16; 2θ = 49.0°, I 19; 2θ = 55.5°, I 20; 2θ = 55.7°, I 33; 2θ = 74.3°, I 15

Structural model:
```
LiTlF2
1.0
-2.8536 2.8536 4.0652
2.8536 -2.8536 4.0652
2.8536 2.8536 -4.0652
Li Tl F
2 2 4
Direct
0.0000 0.0000 0.0000
0.7500 0.2500 0.5000
0.2500 0.7500 0.5000
0.5000 0.5000 0.0000
0.0088 0.6250 0.8838
0.3750 0.2588 0.3838
0.7412 0.1250 0.1162
0.8750 0.9912 0.6162
```


Copy entry 2 word for word.
Starting from a DFT-relaxed cell (GGA-PBE, Alexandria), the powder XRD pattern of LiTlF2 was calculated for Cu Kα (weighted mean of Kα1 and Kα2).
No peak broadening, texture or thermal motion is included.

Main lines, in order of rising 2θ (15° ≤ 2θ ≤ 90°):
2θ = 19.0°, I 100; 2θ = 31.2°, I 85; 2θ = 31.3°, I 33; 2θ = 36.7°, I 29; 2θ = 36.9°, I 59; 2θ = 44.9°, I 16; 2θ = 49.0°, I 19; 2θ = 55.5°, I 20; 2θ = 55.7°, I 33; 2θ = 74.3°, I 15

Structural model:
```
LiTlF2
1.0
-2.8536 2.8536 4.0652
2.8536 -2.8536 4.0652
2.8536 2.8536 -4.0652
Li Tl F
2 2 4
Direct
0.0000 0.0000 0.0000
0.7500 0.2500 0.5000
0.2500 0.7500 0.5000
0.5000 0.5000 0.0000
0.0088 0.6250 0.8838
0.3750 0.2588 0.3838
0.7412 0.1250 0.1162
0.8750 0.9912 0.6162
```


Please write out number 2 again, unchanged.
Starting from a DFT-relaxed cell (GGA-PBE, Alexandria), the powder XRD pattern of LiTlF2 was calculated for Cu Kα (weighted mean of Kα1 and Kα2).
No peak broadening, texture or thermal motion is included.

Main lines, in order of rising 2θ (15° ≤ 2θ ≤ 90°):
2θ = 19.0°, I 100; 2θ = 31.2°, I 85; 2θ = 31.3°, I 33; 2θ = 36.7°, I 29; 2θ = 36.9°, I 59; 2θ = 44.9°, I 16; 2θ = 49.0°, I 19; 2θ = 55.5°, I 20; 2θ = 55.7°, I 33; 2θ = 74.3°, I 15

Structural model:
```
LiTlF2
1.0
-2.8536 2.8536 4.0652
2.8536 -2.8536 4.0652
2.8536 2.8536 -4.0652
Li Tl F
2 2 4
Direct
0.0000 0.0000 0.0000
0.7500 0.2500 0.5000
0.2500 0.7500 0.5000
0.5000 0.5000 0.0000
0.0088 0.6250 0.8838
0.3750 0.2588 0.3838
0.7412 0.1250 0.1162
0.8750 0.9912 0.6162
```